Record 1
For Ca3Ni3As4O16, a GGA+U-relaxed structure gives the theoretical powder XRD pattern in this record (copper Kα).

Structural model:
a = 9.1928 Å, b = 5.1218 Å, c = 17.2307 Å
α = 90.00°, β = 116.42°, γ = 90.00°
Space group P2_1/c (No. 14)
Inequivalent atoms, fractional coordinates:
Ca (0.0000, 0.0000, 0.0000)
Ca (0.3107, 0.0355, 0.2704)
Ni (0.1974, 0.5177, 0.3781)
Ni (0.5000, 0.0000, 0.5000)
As (0.0393, 0.5097, 0.1588)
As (0.4359, 0.5118, 0.5946)
O (0.0230, 0.6530, 0.6419)
O (0.1013, 0.1467, 0.5927)
O (0.1442, 0.5998, 0.8482)
O (0.1921, 0.0478, 0.7623)
O (0.2535, 0.5633, 0.5060)
O (0.4173, 0.2014, 0.9184)
O (0.4358, 0.6119, 0.6878)
O (0.4917, 0.6953, 0.8990)

Top 6 peaks for 2θ = 10–90°, in order of falling intensity:
(hkl)	2θ/deg	I (rel.)
2 1 -1	26.34	100.0
3 1 -3	34.22	98.2
1 0 -2	11.72	94.5
1 1 3	29.86	72.4
0 2 0	35.04	70.3
2 0 -4	23.51	54.6

Record 2
For CaVAsO5, a GGA+U-relaxed structure gives the theoretical powder XRD pattern in this record (copper Kα).

Structural model:
a = 6.0111 Å, b = 9.0200 Å, c = 7.6776 Å
α = 90.00°, β = 90.17°, γ = 90.00°
Space group P2_1 (No. 4)
Inequivalent atoms, fractional coordinates:
Ca (0.2233, 0.0000, 0.1453)
Ca (0.2739, 0.8362, 0.6525)
V (0.0055, 0.6666, 0.2577)
V (0.4965, 0.1716, 0.7577)
As (0.2309, 0.4773, 0.6073)
As (0.2687, 0.3583, 0.1072)
O (0.0030, 0.3595, 0.5897)
O (0.0179, 0.4496, 0.1344)
O (0.1628, 0.5939, 0.7722)
O (0.2402, 0.2427, 0.9249)
O (0.2455, 0.7509, 0.1259)
O (0.2530, 0.0840, 0.6313)
O (0.2585, 0.5940, 0.4257)
O (0.3406, 0.2381, 0.2691)
O (0.4812, 0.3845, 0.6325)
O (0.4947, 0.4768, 0.0910)

Top 6 peaks for 2θ = 10–90°, in order of falling intensity:
(hkl)	2θ/deg	I (rel.)
1 0 -2	27.57	100.0
0 3 1	31.97	60.5
2 1 -1	33.53	55.7
1 2 2	34.11	54.2
1 3 1	35.37	43.5
1 1 1	21.20	38.9

Record 3
For CaAsW2O4, a GGA+U-relaxed structure gives the theoretical powder XRD pattern in this record (copper Kα).

Structural model:
a = 6.3613 Å, b = 20.3908 Å, c = 5.5013 Å
α = 90.00°, β = 116.41°, γ = 90.00°
Space group Cc (No. 9)
Inequivalent atoms, fractional coordinates:
Ca (0.0000, 0.1972, 0.0000)
As (0.0008, 0.3256, 0.4984)
W (0.2149, 0.4645, 0.8640)
W (0.2534, 0.0272, 0.7590)
O (0.0987, 0.2771, 0.3197)
O (0.2449, 0.1305, 0.7934)
O (0.2504, 0.3735, 0.6814)
O (0.4048, 0.2188, 0.1899)

Top 6 peaks for 2θ = 10–90°, in order of falling intensity:
(hkl)	2θ/deg	I (rel.)
2 2 0	32.64	100.0
1 3 -1	22.13	74.0
0 4 0	17.40	72.1
1 7 -1	35.71	55.1
0 4 1	25.14	52.4
2 0 -2	36.09	42.4

Record 4
For CdCoAsHO5, a GGA+U-relaxed structure gives the theoretical powder XRD pattern in this record (copper Kα).

Structural model:
a = 7.6610 Å, b = 6.2307 Å, c = 8.8225 Å
α = 90.00°, β = 90.00°, γ = 90.00°
Space group Pnma (No. 62)
Inequivalent atoms, fractional coordinates:
Cd (0.1309, 0.2500, 0.1733)
Co (0.0000, 0.0000, 0.5000)
As (0.1293, 0.2500, 0.8267)
H (0.2405, 0.7500, 0.9601)
O (0.0334, 0.7500, 0.0381)
O (0.1207, 0.0178, 0.7185)
O (0.1383, 0.2500, 0.4199)
O (0.1851, 0.7500, 0.4429)

Top 6 peaks for 2θ = 10–90°, in order of falling intensity:
(hkl)	2θ/deg	I (rel.)
1 0 3	32.63	100.0
2 1 0	27.33	96.1
1 1 3	35.74	45.9
2 1 2	34.18	40.6
1 1 1	20.96	38.6
3 2 3	56.10	35.9

Record 5
For Ce2FeAs2O, a GGA+U-relaxed structure gives the theoretical powder XRD pattern in this record (copper Kα).

Structural model:
a = 3.1143 Å, b = 3.1143 Å, c = 14.8979 Å
α = 90.00°, β = 90.00°, γ = 90.00°
Space group P4/mmm (No. 123)
Inequivalent atoms, fractional coordinates:
Ce (0.0000, 0.0000, 0.1383)
Fe (0.0000, 0.0000, 0.5000)
As (0.0000, 0.0000, 0.3358)
O (0.0000, 0.0000, 0.0000)

Top 6 peaks for 2θ = 10–90°, in order of falling intensity:
(hkl)	2θ/deg	I (rel.)
1 0 0	28.66	100.0
1 1 0	40.98	37.5
1 0 4	37.65	27.5
1 0 6	46.79	25.8
0 0 4	23.89	22.2
2 1 0	67.22	16.7

Record 6
For CeMnAsO, a GGA+U-relaxed structure gives the theoretical powder XRD pattern in this record (copper Kα).

Structural model:
a = 4.0525 Å, b = 4.0525 Å, c = 8.9455 Å
α = 90.00°, β = 90.00°, γ = 90.00°
Space group P4/nmm (No. 129, origin choice 2)
Inequivalent atoms, fractional coordinates:
Ce (0.2500, 0.2500, 0.1356)
Mn (0.2500, 0.7500, 0.5000)
As (0.2500, 0.2500, 0.6926)
O (0.2500, 0.7500, 0.0000)

Top 6 peaks for 2θ = 10–90°, in order of falling intensity:
(hkl)	2θ/deg	I (rel.)
1 0 2	29.75	100.0
2 0 0	44.73	37.4
2 1 2	54.64	35.9
1 1 2	37.27	33.9
1 1 0	31.21	25.1
1 1 1	32.82	23.2